The following is a simulated powder X-ray diffraction pattern of La2YGe. It was derived from a DFT-relaxed cell (PBE, Alexandria), using λ = 1.5418 Å (Cu Kα).

Principal peaks in the range 15 to 90 degrees two-theta, low angle first:
h k l, 2theta, intensity
1 1 1, 32.14, 100
0 0 2, 36.04, 18
2 0 0, 37.89, 32
2 0 2, 53.28, 24
1 1 3, 62.35, 15
3 1 1, 64.84, 26
2 2 2, 67.23, 12
3 1 3, 87.56, 12

Cell and atoms:
```
data_La2YGe
_symmetry_space_group_name_H-M 'P 4/m m m'
_symmetry_Int_Tables_number 123
_symmetry_space_group_name_Hall '-P 4 2'
_cell_length_a 4.749
_cell_length_b 4.749
_cell_length_c 4.985
_cell_angle_alpha 90.00
_cell_angle_beta 90.00
_cell_angle_gamma 90.00
loop_
_atom_site_label
_atom_site_fract_x
_atom_site_fract_y
_atom_site_fract_z
_atom_site_occupancy
La1 0.000 0.500 0.000 1
Y1 0.000 0.000 0.500 1
Ge1 0.500 0.500 0.500 1
```

***

The following is a simulated powder X-ray diffraction pattern of La3Zn3Ge. It was derived from a DFT-relaxed cell (PBE, Alexandria), using λ = 1.5418 Å (Cu Kα).

Principal peaks in the range 15 to 90 degrees two-theta, low angle first:
h k l, 2theta, intensity
0 1 3, 24.40, 13
1 0 5, 30.95, 100
1 1 4, 34.73, 17
0 1 7, 37.77, 22
0 2 0, 41.33, 17
2 0 0, 43.21, 15
1 2 5, 52.56, 17
2 1 7, 58.72, 12

Cell and atoms:
```
data_La3Zn3Ge
_symmetry_space_group_name_H-M 'I m m 2'
_symmetry_Int_Tables_number 44
_cell_length_a 4.187
_cell_length_b 4.369
_cell_length_c 19.890
_cell_angle_alpha 90.00
_cell_angle_beta 90.00
_cell_angle_gamma 90.00
loop_
_symmetry_equiv_pos_as_xyz
'x,y,z'
'-x,-y,z'
'-x,y,z'
'x,-y,z'
'x+1/2,y+1/2,z+1/2'
'-x+1/2,-y+1/2,z+1/2'
'-x+1/2,y+1/2,z+1/2'
'x+1/2,-y+1/2,z+1/2'
loop_
_atom_site_label
_atom_site_fract_x
_atom_site_fract_y
_atom_site_fract_z
_atom_site_occupancy
La1 0.000 0.000 0.000 1
La2 0.000 0.000 0.372 1
La3 0.000 0.500 0.195 1
Zn1 0.000 0.000 0.552 1
Zn2 0.000 0.000 0.826 1
Zn3 0.000 0.500 0.623 1
Ge1 0.000 0.500 0.751 1
```

***

The following is a simulated powder X-ray diffraction pattern of La5ZnGe2. It was derived from a DFT-relaxed cell (PBE, Alexandria), using λ = 1.5418 Å (Cu Kα).

Principal peaks in the range 15 to 90 degrees two-theta, low angle first:
h k l, 2theta, intensity
2 1 1, 25.46, 14
2 1 3, 30.98, 100
2 2 0, 31.38, 19
2 0 4, 33.30, 48
3 1 0, 35.20, 44
0 0 6, 37.34, 14
4 1 3, 50.36, 21
3 3 4, 54.56, 17

Cell and atoms:
```
data_La5ZnGe2
_symmetry_space_group_name_H-M 'I 4/m c m'
_symmetry_Int_Tables_number 140
_symmetry_space_group_name_Hall '-I 4 2c'
_cell_length_a 8.064
_cell_length_b 8.064
_cell_length_c 14.450
_cell_angle_alpha 90.00
_cell_angle_beta 90.00
_cell_angle_gamma 90.00
loop_
_atom_site_label
_atom_site_fract_x
_atom_site_fract_y
_atom_site_fract_z
_atom_site_occupancy
La1 0.000 0.000 0.000 1
La2 0.176 0.324 0.146 1
Zn1 0.000 0.000 0.250 1
Ge1 0.121 0.379 0.500 1
```

***

The following is a simulated powder X-ray diffraction pattern of La2Zn3Ge. It was derived from a DFT-relaxed cell (PBE, Alexandria), using λ = 1.5418 Å (Cu Kα).

Principal peaks in the range 15 to 90 degrees two-theta, low angle first:
h k l, 2theta, intensity
0 2 2, 22.83, 7
2 2 2, 32.19, 100
0 4 0, 40.12, 50
4 0 0, 45.66, 11
2 0 8, 52.33, 25
4 4 0, 62.37, 26
2 4 8, 67.90, 15
6 2 2, 75.86, 8

Cell and atoms:
```
data_La2Zn3Ge
_symmetry_space_group_name_H-M 'F m m m'
_symmetry_Int_Tables_number 69
_symmetry_space_group_name_Hall '-F 2 2'
_cell_length_a 7.948
_cell_length_b 9.000
_cell_length_c 15.558
_cell_angle_alpha 90.00
_cell_angle_beta 90.00
_cell_angle_gamma 90.00
loop_
_atom_site_label
_atom_site_fract_x
_atom_site_fract_y
_atom_site_fract_z
_atom_site_occupancy
La1 0.245 0.000 0.000 1
La2 0.250 0.250 0.250 1
Zn1 0.000 0.000 0.166 1
Zn2 0.000 0.248 0.417 1
Ge1 0.000 0.000 0.334 1
```

***

The following is a simulated powder X-ray diffraction pattern of LaZnGe2. It was derived from a DFT-relaxed cell (PBE, Alexandria), using λ = 1.5418 Å (Cu Kα).

Principal peaks in the range 15 to 90 degrees two-theta, low angle first:
h k l, 2theta, intensity
1 1 0, 22.58, 27
0 2 0, 29.63, 53
1 1 1, 33.58, 100
2 0 -2, 34.50, 70
2 2 -1, 42.40, 55
1 1 -3, 49.25, 38
3 1 0, 55.14, 48
3 1 -4, 66.96, 23

Cell and atoms:
```
data_LaZnGe2
_symmetry_space_group_name_H-M 'C 1 2 1'
_symmetry_Int_Tables_number 5
_cell_length_a 6.033
_cell_length_b 6.025
_cell_length_c 5.951
_cell_angle_alpha 90.00
_cell_angle_beta 120.38
_cell_angle_gamma 90.00
loop_
_symmetry_equiv_pos_as_xyz
'x,y,z'
'-x,y,-z'
'x+1/2,y+1/2,z'
'-x+1/2,y+1/2,-z'
loop_
_atom_site_label
_atom_site_fract_x
_atom_site_fract_y
_atom_site_fract_z
_atom_site_occupancy
La1 0.000 0.000 0.000 1
Zn1 0.000 0.749 0.500 1
Ge1 0.125 0.502 0.243 1
```

***

The following is a simulated powder X-ray diffraction pattern of La3ZrGe6. It was derived from a DFT-relaxed cell (PBE, Alexandria), using λ = 1.5418 Å (Cu Kα).

Principal peaks in the range 15 to 90 degrees two-theta, low angle first:
h k l, 2theta, intensity
1 1 3, 27.35, 27
1 3 1, 32.47, 100
3 1 2, 35.14, 90
0 2 4, 35.27, 60
1 2 5, 45.20, 19
4 1 3, 46.87, 24
5 2 0, 56.16, 17
2 0 8, 66.34, 18

Cell and atoms:
```
data_La3ZrGe6
_symmetry_space_group_name_H-M 'R -3 c'
_symmetry_Int_Tables_number 167
_symmetry_space_group_name_Hall '-R 3 2"c'
_cell_length_a 11.8113
_cell_length_b 11.8113
_cell_length_c 11.7323
_cell_angle_alpha 90.00
_cell_angle_beta 90.00
_cell_angle_gamma 120.00
loop_
_atom_site_label
_atom_site_fract_x
_atom_site_fract_y
_atom_site_fract_z
_atom_site_occupancy
La1 0.0000 0.4322 0.2500 1
Zr1 0.0000 0.0000 0.0000 1
Ge1 0.0675 0.2104 0.3416 1
```

***

The following is a simulated powder X-ray diffraction pattern of Li5Ge4. It was derived from a DFT-relaxed cell (PBE, Alexandria), using λ = 1.5418 Å (Cu Kα).

Principal peaks in the range 15 to 90 degrees two-theta, low angle first:
h k l, 2theta, intensity
2 0 0, 20.96, 67
0 0 2, 21.14, 59
2 0 -2, 24.12, 33
1 1 0, 25.27, 43
1 1 -1, 25.97, 35
1 1 -3, 38.04, 100
3 1 0, 39.47, 90
4 0 -3, 43.76, 32

Cell and atoms:
```
data_Li5Ge4
_symmetry_space_group_name_H-M 'C 1 2/m 1'
_symmetry_Int_Tables_number 12
_cell_length_a 9.032
_cell_length_b 3.876
_cell_length_c 8.959
_cell_angle_alpha 90.00
_cell_angle_beta 110.22
_cell_angle_gamma 90.00
loop_
_symmetry_equiv_pos_as_xyz
'x,y,z'
'-x,-y,-z'
'-x,y,-z'
'x,-y,z'
'x+1/2,y+1/2,z'
'-x+1/2,-y+1/2,-z'
'-x+1/2,y+1/2,-z'
'x+1/2,-y+1/2,z'
loop_
_atom_site_label
_atom_site_fract_x
_atom_site_fract_y
_atom_site_fract_z
_atom_site_occupancy
Li1 0.000 0.000 0.000 1
Li2 0.009 0.000 0.662 1
Li3 0.161 0.500 0.221 1
Ge1 0.175 0.500 0.903 1
Ge2 0.179 0.500 0.551 1
```

***

The following is a simulated powder X-ray diffraction pattern of LiGe3. It was derived from a DFT-relaxed cell (PBE, Alexandria), using λ = 1.5418 Å (Cu Kα).

Principal peaks in the range 15 to 90 degrees two-theta, low angle first:
h k l, 2theta, intensity
0 0 1, 19.68, 19
1 0 0, 22.00, 19
1 0 1, 29.68, 19
1 1 1, 37.25, 100
0 0 2, 39.97, 17
2 0 0, 44.87, 31
2 0 2, 61.64, 21
3 1 1, 77.68, 22

Cell and atoms:
```
data_LiGe3
_symmetry_space_group_name_H-M 'P 4 m m'
_symmetry_Int_Tables_number 99
_cell_length_a 4.040
_cell_length_b 4.040
_cell_length_c 4.511
_cell_angle_alpha 90.00
_cell_angle_beta 90.00
_cell_angle_gamma 90.00
loop_
_symmetry_equiv_pos_as_xyz
'x,y,z'
'-y,x,z'
'-x,-y,z'
'y,-x,z'
'-x,y,z'
'y,x,z'
'x,-y,z'
'-y,-x,z'
loop_
_atom_site_label
_atom_site_fract_x
_atom_site_fract_y
_atom_site_fract_z
_atom_site_occupancy
Li1 0.000 0.000 0.000 1
Ge1 0.000 0.500 0.528 1
Ge2 0.500 0.500 0.107 1
```